The following is a computed PXRD pattern of Tm4AgSn. It was derived from the PBE geometry in Alexandria, using a wavelength of 1.5418 Å.

Cell and atoms:
a = 10.727 Å, b = 10.727 Å, c = 6.374 Å
α = 90.00°, β = 90.00°, γ = 151.37°
Sites, in units of the cell vectors:
Tm  0.058  0.942  0.750
Tm  0.204  0.796  0.505
Tm  0.204  0.796  0.995
Tm  0.375  0.625  0.750
Tm  0.625  0.375  0.250
Tm  0.796  0.204  0.005
Tm  0.796  0.204  0.495
Tm  0.942  0.058  0.250
Ag  0.078  0.922  0.250
Ag  0.922  0.078  0.750
Sn  0.345  0.655  0.250
Sn  0.655  0.345  0.750

Peak list (8 most intense, 2θ from 10° to 90°, by angle)
2θ/deg	I_rel
27.3	27
29.3	57
33.0	30
33.8	68
34.6	99
35.3	100
39.5	28
45.3	35

The following is a computed PXRD pattern of Li2P2Rh3. It was derived from the PBE geometry in Alexandria, using a wavelength of 1.5418 Å.

Cell and atoms:
a = 5.707 Å, b = 11.813 Å, c = 2.906 Å
α = 90.00°, β = 90.00°, γ = 90.00°
Sites, in units of the cell vectors:
Li  0.163  0.100  0.000
Li  0.337  0.600  0.000
Li  0.663  0.400  0.000
Li  0.837  0.900  0.000
P  0.178  0.361  0.000
P  0.322  0.861  0.000
P  0.678  0.139  0.000
P  0.822  0.639  0.000
Rh  0.000  0.500  0.500
Rh  0.070  0.746  0.500
Rh  0.430  0.246  0.500
Rh  0.500  0.000  0.500
Rh  0.570  0.754  0.500
Rh  0.930  0.254  0.500

Peak list (8 most intense, 2θ from 10° to 90°, by angle)
2θ/deg	I_rel
15.0	57
17.3	100
30.3	50
30.8	46
43.7	83
44.1	43
44.5	43
45.2	44

The following is a computed PXRD pattern of LaCu9Hg2. It was derived from the PBE geometry in Alexandria, using a wavelength of 1.5418 Å.

Cell and atoms:
a = 8.490 Å, b = 8.490 Å, c = 5.126 Å
α = 90.00°, β = 90.00°, γ = 90.00°
Sites, in units of the cell vectors:
La  0.000  0.000  0.000
La  0.500  0.500  0.000
Cu  0.000  0.500  0.500
Cu  0.064  0.207  0.500
Cu  0.177  0.677  0.251
Cu  0.177  0.677  0.749
Cu  0.207  0.936  0.500
Cu  0.293  0.436  0.500
Cu  0.323  0.177  0.251
Cu  0.323  0.177  0.749
Cu  0.436  0.707  0.500
Cu  0.500  0.000  0.500
Cu  0.564  0.293  0.500
Cu  0.677  0.823  0.251
Cu  0.677  0.823  0.749
Cu  0.707  0.564  0.500
Cu  0.793  0.064  0.500
Cu  0.823  0.323  0.251
Cu  0.823  0.323  0.749
Cu  0.936  0.793  0.500
Hg  0.123  0.377  0.000
Hg  0.377  0.877  0.000
Hg  0.623  0.123  0.000
Hg  0.877  0.623  0.000

Peak list (8 most intense, 2θ from 10° to 90°, by angle)
2θ/deg	I_rel
29.3	38
33.4	28
35.0	25
37.8	100
42.2	59
42.6	96
44.0	27
64.7	31

The following is a computed PXRD pattern of Ho2In3Hg4. It was derived from the PBE geometry in Alexandria, using a wavelength of 1.5418 Å.

Cell and atoms:
a = 8.882 Å, b = 8.882 Å, c = 8.663 Å
α = 90.00°, β = 90.00°, γ = 138.48°
Sites, in units of the cell vectors:
Ho  0.111  0.889  0.922
Ho  0.389  0.611  0.422
Ho  0.611  0.389  0.578
Ho  0.889  0.111  0.078
In  0.000  0.000  0.500
In  0.032  0.468  0.750
In  0.468  0.032  0.250
In  0.500  0.500  0.000
In  0.532  0.968  0.750
In  0.968  0.532  0.250
Hg  0.174  0.826  0.553
Hg  0.206  0.294  0.750
Hg  0.294  0.206  0.250
Hg  0.326  0.674  0.053
Hg  0.674  0.326  0.947
Hg  0.706  0.794  0.750
Hg  0.794  0.706  0.250
Hg  0.826  0.174  0.447

Peak list (8 most intense, 2θ from 10° to 90°, by angle)
2θ/deg	I_rel
29.8	33
32.1	100
32.8	52
34.0	31
35.2	84
35.8	23
44.8	15
54.4	22

The following is a computed PXRD pattern of Na2Sr17. It was derived from the PBE geometry in Alexandria, using a wavelength of 1.5418 Å.

Cell and atoms:
a = 10.627 Å, b = 10.627 Å, c = 10.627 Å
α = 80.52°, β = 80.52°, γ = 80.52°
Sites, in units of the cell vectors:
Na  0.210  0.210  0.210
Na  0.790  0.790  0.790
Sr  0.000  0.500  0.500
Sr  0.159  0.159  0.653
Sr  0.159  0.653  0.159
Sr  0.192  0.500  0.808
Sr  0.192  0.808  0.500
Sr  0.347  0.841  0.841
Sr  0.407  0.407  0.407
Sr  0.500  0.000  0.500
Sr  0.500  0.192  0.808
Sr  0.500  0.500  0.000
Sr  0.500  0.808  0.192
Sr  0.593  0.593  0.593
Sr  0.653  0.159  0.159
Sr  0.808  0.192  0.500
Sr  0.808  0.500  0.192
Sr  0.841  0.347  0.841
Sr  0.841  0.841  0.347

Peak list (8 most intense, 2θ from 10° to 90°, by angle)
2θ/deg	I_rel
12.9	27
25.2	27
25.8	81
25.9	37
28.4	45
28.9	100
43.2	24
45.8	28

The following is a computed PXRD pattern of Dy4Ho3Zr. It was derived from the PBE geometry in Alexandria, using a wavelength of 1.5418 Å.

Cell and atoms:
a = 11.086 Å, b = 7.134 Å, c = 6.150 Å
α = 90.00°, β = 90.00°, γ = 90.00°
Sites, in units of the cell vectors:
Dy  0.000  0.128  0.000
Dy  0.000  0.868  0.496
Dy  0.244  0.870  0.840
Dy  0.256  0.130  0.340
Dy  0.500  0.132  0.996
Dy  0.500  0.872  0.500
Dy  0.744  0.130  0.340
Dy  0.756  0.870  0.840
Ho  0.000  0.383  0.500
Ho  0.248  0.380  0.828
Ho  0.252  0.620  0.328
Ho  0.500  0.617  0.000
Ho  0.748  0.620  0.328
Ho  0.752  0.380  0.828
Zr  0.000  0.623  0.003
Zr  0.500  0.377  0.503

Peak list (8 most intense, 2θ from 10° to 90°, by angle)
2θ/deg	I_rel
28.9	16
32.3	24
33.3	100
43.9	16
51.4	13
58.2	20
62.0	15
62.5	11